(1)
Starting from a structure optimized by DFT (PBE), the PXRD pattern of SbHPd6 was computed for copper Kα.

```
SbHPd6
1.0
3.1958 -3.5918 0.0000
3.1958 3.5918 0.0000
-1.7730 0.0000 5.2757
Sb H Pd
1 1 6
Direct
0.0000 0.0000 0.0000 Sb
0.5000 0.5000 0.5000 H
0.2120 0.2120 0.5156 Pd
0.2148 0.6170 0.2189 Pd
0.3830 0.7852 0.7811 Pd
0.6170 0.2148 0.2189 Pd
0.7852 0.3830 0.7811 Pd
0.7880 0.7880 0.4844 Pd
```

Principal peaks in the range 5 to 70 degrees two-theta, low angle first:
2θ/deg, Rel. int.
34.80, 46.6
38.46, 98.8
38.70, 80.1
40.51, 57.7
42.52, 100.0
44.45, 33.5

***

(2)
Starting from a structure optimized by DFT (PBE), the PXRD pattern of TeAs was computed for copper Kα.

```
TeAs
1.0
2.0853 1.2040 6.9215
-2.0853 1.2040 6.9215
0.0000 -2.4079 6.9215
Te As
2 2
Direct
0.1166 0.1166 0.1166 Te
0.8834 0.8834 0.8834 Te
0.3672 0.3672 0.3672 As
0.6328 0.6328 0.6328 As
```

Principal peaks in the range 5 to 70 degrees two-theta, low angle first:
2θ/deg, Rel. int.
30.14, 100.0
32.86, 9.3
42.91, 33.0
43.39, 38.1
53.74, 19.3
62.67, 10.6

***

(3)
Starting from a structure optimized by DFT (PBE), the PXRD pattern of HoCrFe was computed for copper Kα.

```
HoCrFe
1.0
6.5820 0.0000 0.0000
0.0000 6.5820 0.0000
0.0000 0.0000 5.5453
Ho Cr Fe
4 4 4
Direct
0.2293 0.2293 0.0000 Ho
0.2707 0.7293 0.2500 Ho
0.7293 0.2707 0.7500 Ho
0.7707 0.7707 0.5000 Ho
0.0785 0.0785 0.5000 Cr
0.4215 0.5785 0.7500 Cr
0.5785 0.4215 0.2500 Cr
0.9215 0.9215 0.0000 Cr
0.1796 0.8204 0.7500 Fe
0.3204 0.3204 0.5000 Fe
0.6796 0.6796 0.0000 Fe
0.8204 0.1796 0.2500 Fe
```

Principal peaks in the range 5 to 70 degrees two-theta, low angle first:
2θ/deg, Rel. int.
20.95, 29.4
27.09, 67.2
34.50, 56.5
37.77, 100.0
38.69, 35.5
55.18, 26.4

***

(4)
Starting from a structure optimized by DFT (PBE), the PXRD pattern of Dy2ErTl2Zn2 was computed for copper Kα.

```
Dy2ErTl2Zn2
1.0
2.3625 1.3640 9.1059
-2.3625 1.3640 9.1059
0.0000 -2.7280 9.1059
Dy Er Tl Zn
2 1 2 2
Direct
0.1264 0.1264 0.1264 Dy
0.8736 0.8736 0.8736 Dy
0.0000 0.0000 0.0000 Er
0.2617 0.2617 0.2617 Tl
0.7383 0.7383 0.7383 Tl
0.3902 0.3902 0.3902 Zn
0.6098 0.6098 0.6098 Zn
```

Principal peaks in the range 5 to 70 degrees two-theta, low angle first:
2θ/deg, Rel. int.
31.68, 49.2
34.20, 100.0
38.09, 93.1
52.11, 30.5
64.62, 27.9
66.35, 29.4

***

(5)
Starting from a structure optimized by DFT (PBE), the PXRD pattern of Sc2InAu4 was computed for copper Kα.

```
Sc2InAu4
1.0
2.4148 1.3942 6.8436
-2.4148 1.3942 6.8436
0.0000 -2.7883 6.8436
Sc In Au
2 1 4
Direct
0.2279 0.2279 0.2279 Sc
0.7721 0.7721 0.7721 Sc
0.5000 0.5000 0.5000 In
0.0861 0.0861 0.0861 Au
0.3638 0.3638 0.3638 Au
0.6362 0.6362 0.6362 Au
0.9139 0.9139 0.9139 Au
```

Principal peaks in the range 5 to 70 degrees two-theta, low angle first:
2θ/deg, Rel. int.
27.51, 36.1
37.24, 100.0
37.45, 77.5
53.82, 38.8
67.16, 23.9
67.28, 27.8

***

(6)
Starting from a structure optimized by DFT (PBE), the PXRD pattern of SiGeRh3 was computed for copper Kα.

```
SiGeRh3
1.0
4.1096 0.0000 0.0000
0.0000 7.2363 0.0000
0.0000 0.0000 5.2862
Si Ge Rh
2 2 6
Direct
0.0000 0.1657 0.0000 Si
0.0000 0.8343 0.5000 Si
0.5000 0.3403 0.4183 Ge
0.5000 0.6597 0.9183 Ge
0.0000 0.1468 0.5416 Rh
0.0000 0.4544 0.1951 Rh
0.0000 0.5456 0.6951 Rh
0.0000 0.8532 0.0416 Rh
0.5000 0.3035 0.8828 Rh
0.5000 0.6965 0.3828 Rh
```

Principal peaks in the range 5 to 70 degrees two-theta, low angle first:
2θ/deg, Rel. int.
12.23, 86.0
37.22, 46.4
40.58, 79.4
42.54, 66.1
43.50, 100.0
44.07, 65.8